(1)
Computed powder X-ray diffraction pattern of Pr4Dy15Tl for Cu Kα (weighted mean of Kα1 and Kα2), from the GGA-PBE geometry in Alexandria.
Intensities are scaled so that the largest is 100.

Top 10 peaks for 10° ≤ 2θ ≤ 90°, in order of rising 2θ:
2.905 Å, 30.8°, intensity 100.0; 2.537 Å, 35.4°, intensity 17.0; 2.505 Å, 35.8°, intensity 33.6; 1.782 Å, 51.3°, intensity 23.6; 1.771 Å, 51.6°, intensity 12.0; 1.526 Å, 60.7°, intensity 13.6; 1.512 Å, 61.3°, intensity 28.3; 1.452 Å, 64.1°, intensity 12.1; 1.156 Å, 83.6°, intensity 11.2; 1.120 Å, 87.0°, intensity 5.9

Structural model:
Lattice parameters (Å, degrees): 5.0099 5.0099 25.3658 90.00 90.00 90.00
Fractional positions:
Pr 0.0000 0.0000 0.1011
Pr 0.0000 0.0000 0.3023
Pr 0.0000 0.0000 0.6977
Pr 0.0000 0.0000 0.8989
Dy 0.0000 0.5000 0.0000
Dy 0.0000 0.5000 0.2021
Dy 0.0000 0.5000 0.4042
Dy 0.0000 0.5000 0.5958
Dy 0.0000 0.5000 0.7979
Dy 0.5000 0.0000 0.0000
Dy 0.5000 0.0000 0.2021
Dy 0.5000 0.0000 0.4042
Dy 0.5000 0.0000 0.5958
Dy 0.5000 0.0000 0.7979
Dy 0.5000 0.5000 0.1017
Dy 0.5000 0.5000 0.3057
Dy 0.5000 0.5000 0.5000
Dy 0.5000 0.5000 0.6943
Dy 0.5000 0.5000 0.8983
Tl 0.0000 0.0000 0.5000



(2)
Computed powder X-ray diffraction pattern of Pr5DyTl8 for Cu Kα (weighted mean of Kα1 and Kα2), from the GGA-PBE geometry in Alexandria.
Intensities are scaled so that the largest is 100.

Top 10 peaks for 10° ≤ 2θ ≤ 90°, in order of rising 2θ:
3.901 Å, 22.8°, intensity 14.2; 3.028 Å, 29.5°, intensity 100.0; 2.986 Å, 29.9°, intensity 44.9; 2.558 Å, 35.1°, intensity 40.2; 2.549 Å, 35.2°, intensity 44.5; 2.534 Å, 35.4°, intensity 48.6; 1.950 Å, 46.6°, intensity 27.8; 1.878 Å, 48.5°, intensity 10.3; 1.553 Å, 59.5°, intensity 20.4; 1.478 Å, 62.9°, intensity 9.9

Structural model:
Lattice parameters (Å, degrees): 8.2535 8.2535 8.2535 109.04 109.04 110.34
Fractional positions:
Pr 0.0000 0.0000 0.0000
Pr 0.2538 0.6162 0.1242
Pr 0.3838 0.5080 0.6376
Pr 0.4920 0.1296 0.8758
Pr 0.8704 0.7462 0.3624
Dy 0.7500 0.2500 0.5000
Tl 0.1092 0.2017 0.7341
Tl 0.1120 0.7013 0.7418
Tl 0.2987 0.0404 0.4107
Tl 0.4677 0.3751 0.2659
Tl 0.6249 0.8908 0.0926
Tl 0.6298 0.8880 0.5893
Tl 0.7983 0.5323 0.9074
Tl 0.9596 0.3702 0.2582



(3)
Computed powder X-ray diffraction pattern of Pr7Dy12Tl for Cu Kα (weighted mean of Kα1 and Kα2), from the GGA-PBE geometry in Alexandria.
Intensities are scaled so that the largest is 100.

Top 10 peaks for 10° ≤ 2θ ≤ 90°, in order of rising 2θ:
3.957 Å, 22.5°, intensity 13.1; 2.970 Å, 30.1°, intensity 25.3; 2.933 Å, 30.5°, intensity 26.3; 2.916 Å, 30.7°, intensity 100.0; 2.794 Å, 32.0°, intensity 69.9; 2.771 Å, 32.3°, intensity 52.5; 2.677 Å, 33.5°, intensity 27.4; 2.338 Å, 38.5°, intensity 15.2; 1.743 Å, 52.5°, intensity 14.2; 1.730 Å, 52.9°, intensity 16.7

Structural model:
Lattice parameters (Å, degrees): 8.8018 8.8018 8.8018 89.20 89.20 89.20
Fractional positions:
Pr 0.0000 0.0000 0.0000
Pr 0.1211 0.2694 0.7136
Pr 0.2694 0.7136 0.1211
Pr 0.2864 0.8789 0.7306
Pr 0.7136 0.1211 0.2694
Pr 0.7306 0.2864 0.8789
Pr 0.8789 0.7306 0.2864
Dy 0.0384 0.3781 0.1591
Dy 0.1591 0.0384 0.3781
Dy 0.1659 0.6116 0.4950
Dy 0.3781 0.1591 0.0384
Dy 0.3884 0.5050 0.8341
Dy 0.4950 0.1659 0.6116
Dy 0.5050 0.8341 0.3884
Dy 0.6116 0.4950 0.1659
Dy 0.6219 0.8409 0.9616
Dy 0.8341 0.3884 0.5050
Dy 0.8409 0.9616 0.6219
Dy 0.9616 0.6219 0.8409
Tl 0.5000 0.5000 0.5000



(4)
Computed powder X-ray diffraction pattern of Pr3Dy2Tl3 for Cu Kα (weighted mean of Kα1 and Kα2), from the GGA-PBE geometry in Alexandria.
Intensities are scaled so that the largest is 100.

Top 10 peaks for 10° ≤ 2θ ≤ 90°, in order of rising 2θ:
2.847 Å, 31.4°, intensity 100.0; 2.663 Å, 33.7°, intensity 18.7; 2.555 Å, 35.1°, intensity 19.3; 2.240 Å, 40.3°, intensity 13.3; 1.844 Å, 49.4°, intensity 12.8; 1.684 Å, 54.5°, intensity 11.1; 1.570 Å, 58.8°, intensity 12.7; 1.526 Å, 60.7°, intensity 15.5; 1.423 Å, 65.6°, intensity 11.0; 1.384 Å, 67.7°, intensity 11.2

Structural model:
Lattice parameters (Å, degrees): 11.1791 11.1791 11.1791 156.89 153.57 35.39
Fractional positions:
Pr 0.0000 0.0000 0.0000
Pr 0.3794 0.8794 0.5000
Pr 0.6206 0.1206 0.5000
Dy 0.2369 0.2369 0.0000
Dy 0.7631 0.7631 0.0000
Tl 0.1312 0.6312 0.5000
Tl 0.5000 0.5000 0.0000
Tl 0.8688 0.3688 0.5000